Li7Mn5O12: simulated powder diffractogram (Cu Ka), based on DFT lattice parameters and positions (GGA+U).

Top 12 peaks for 15 to 90 degrees two-theta, sorted by position:
2θ = 18.2°, rel. 100.0
2θ = 33.8°, rel. 17.2
2θ = 36.2°, rel. 23.4
2θ = 40.7°, rel. 34.8
2θ = 44.1°, rel. 56.3
2θ = 46.9°, rel. 9.2
2θ = 58.0°, rel. 9.2
2θ = 61.3°, rel. 16.2
2θ = 61.8°, rel. 16.1
2θ = 63.3°, rel. 7.4
2θ = 65.0°, rel. 7.5
2θ = 79.6°, rel. 6.9

```
24
Lattice="14.741 -1.434 0.000 14.741 1.434 0.000 -0.670 0.000 5.304" Properties=species:S:1:pos:R:3 pbc="T T T"
Li 0.000 0.000 0.000
Li 1.838 0.000 3.770
Li 7.196 0.000 1.299
Li 12.022 0.000 4.323
Li 16.789 0.000 0.981
Li 21.615 0.000 4.005
Li 26.974 0.000 1.534
Mn 4.570 0.000 2.594
Mn 9.857 0.000 0.055
Mn 14.406 0.000 2.652
Mn 18.955 0.000 5.249
Mn 24.241 0.000 2.710
O 0.840 0.000 2.001
O 3.700 0.000 0.544
O 5.451 0.000 4.709
O 8.284 0.000 3.287
O 10.649 0.000 2.074
O 13.498 0.000 0.926
O 15.313 0.000 4.378
O 18.163 0.000 3.230
O 20.528 0.000 2.017
O 23.360 0.000 0.595
O 25.111 0.000 4.760
O 27.972 0.000 3.303
```